Entry 1:
# AlPCN4
Simulated powder X-ray diffraction pattern, copper Kα. Input: a structure optimized by DFT (PBE).
Lines closer than 0.1° are merged.

Structural model:
```
AlPCN4
1.0
4.953 0.000 0.000
-0.726 4.934 0.000
-0.885 -1.365 6.163
Al P C N
2 2 2 8
Cartesian
0.000 0.000 0.000
-0.808 3.264 2.264
2.325 0.099 2.038
1.668 2.615 3.685
0.579 -0.794 4.885
2.093 1.025 5.768
0.083 3.093 3.941
0.430 4.213 1.268
1.656 1.360 2.753
1.535 0.037 5.093
2.330 2.263 5.198
2.478 3.906 2.984
3.585 0.718 1.123
3.548 2.122 0.821
```

Largest 8 diffraction maxima, by angle, 2θ from 10° to 90°:
Position (°2θ)  I_rel
18.4  100.0
21.3  34.7
23.7  39.6
25.3  37.8
25.8  38.2
28.2  51.4
35.2  79.4
37.1  64.3

=====

Entry 2:
# AlPCN4
Simulated powder X-ray diffraction pattern, copper Kα. Input: a structure optimized by DFT (PBE).
Lines closer than 0.1° are merged.

Structural model:
```
AlPCN4
1.0
5.301 0.000 0.000
-0.213 5.378 0.000
-1.215 -1.944 5.394
Al P C N
2 2 2 8
Cartesian
0.000 0.000 0.000
0.399 -0.483 3.989
1.464 2.290 5.340
3.118 0.002 2.715
1.805 2.048 1.295
2.909 1.752 3.227
1.010 0.948 1.460
0.345 3.148 4.618
1.409 0.009 2.493
1.948 2.668 0.099
2.379 2.583 2.387
3.708 -0.333 1.204
2.913 2.013 4.574
3.839 -0.669 3.952
```

Largest 8 diffraction maxima, by angle, 2θ from 10° to 90°:
Position (°2θ)  I_rel
17.2  83.9
17.5  76.4
19.6  73.9
20.9  65.5
23.2  100.0
27.4  65.4
28.0  78.1
33.7  78.9

=====

Entry 3:
# AlPCN4
Simulated powder X-ray diffraction pattern, copper Kα. Input: a structure optimized by DFT (PBE).
Lines closer than 0.1° are merged.

Structural model:
```
AlPCN4
1.0
3.466 0.000 0.000
0.430 3.731 0.000
0.197 0.554 4.969
Al P C N
1 1 1 4
Cartesian
0.000 0.000 0.000
1.195 1.344 2.029
2.706 2.514 1.667
0.654 4.032 3.116
2.190 3.683 1.005
3.672 2.721 2.816
3.630 1.819 0.730
```

Largest 8 diffraction maxima, by angle, 2θ from 10° to 90°:
Position (°2θ)  I_rel
17.9  100.0
25.9  49.6
28.4  18.6
31.2  28.2
31.7  29.0
37.6  21.1
39.9  41.7
44.4  30.8

=====

Entry 4:
# AlPCN4
Simulated powder X-ray diffraction pattern, copper Kα. Input: a structure optimized by DFT (PBE).
Lines closer than 0.1° are merged.

Structural model:
```
AlPCN4
1.0
4.573 0.000 0.000
0.049 4.929 0.000
0.402 0.817 6.473
Al P C N
2 2 2 8
Cartesian
0.000 0.000 0.000
2.159 4.916 4.513
2.317 4.111 1.378
4.420 3.159 4.859
1.951 1.639 2.659
4.637 2.621 1.250
1.452 2.656 1.827
1.853 5.202 2.519
2.291 5.382 6.403
2.503 1.858 3.850
2.833 3.116 4.363
3.965 3.824 1.455
4.181 1.699 0.491
4.760 4.739 4.923
```

Largest 8 diffraction maxima, by angle, 2θ from 10° to 90°:
Position (°2θ)  I_rel
18.1  64.1
23.2  48.7
24.5  100.0
26.7  66.5
27.6  71.1
31.2  65.8
35.1  55.9
39.5  92.1

=====

Entry 5:
# PaAlCN
Simulated powder X-ray diffraction pattern, copper Kα. Input: a structure optimized by DFT (PBE).
Lines closer than 0.1° are merged.

Structural model:
```
PaAlCN
1.0
3.536 0.000 0.000
-1.768 3.063 0.000
0.000 0.000 10.526
Pa Al C N
2 2 2 2
Cartesian
0.000 2.042 0.000
1.768 1.021 5.263
0.000 0.000 2.336
0.000 0.000 7.600
0.000 2.042 6.854
1.768 1.021 1.591
0.000 0.000 4.211
0.000 0.000 9.474
```

Largest 8 diffraction maxima, by angle, 2θ from 10° to 90°:
Position (°2θ)  I_rel
16.8  74.3
30.4  100.0
33.9  36.9
39.0  59.7
51.7  24.1
52.8  23.5
54.8  22.5
63.4  19.5

=====

Entry 6:
# Nb4AlC
Simulated powder X-ray diffraction pattern, copper Kα. Input: a structure optimized by DFT (PBE).
Lines closer than 0.1° are merged.

Structural model:
```
Nb4AlC
1.0
6.834 0.000 0.000
0.000 4.887 0.000
0.000 0.000 6.392
Nb Al C
8 2 2
Cartesian
0.941 1.207 0.000
0.941 1.237 3.196
1.608 3.480 4.884
1.608 3.852 1.688
5.226 1.036 1.688
5.226 1.408 4.884
5.893 3.651 3.196
5.893 3.680 0.000
3.417 0.000 3.493
3.417 2.444 0.297
0.000 0.000 4.789
0.000 2.444 1.593
```

Largest 8 diffraction maxima, by angle, 2θ from 10° to 90°:
Position (°2θ)  I_rel
13.0  45.7
26.1  17.7
32.0  15.4
36.1  100.0
36.8  22.8
42.9  27.7
43.8  20.3
73.9  13.5

=====

Entry 7:
# Nb3Al2C
Simulated powder X-ray diffraction pattern, copper Kα. Input: a structure optimized by DFT (PBE).
Lines closer than 0.1° are merged.

Structural model:
```
Nb3Al2C
1.0
7.129 0.000 0.000
0.000 7.129 0.000
0.000 0.000 7.129
Nb Al C
12 8 4
Cartesian
0.320 0.891 5.666
0.891 5.666 0.320
1.463 3.884 2.673
2.102 3.245 6.238
2.673 1.463 3.884
3.245 6.238 2.102
3.884 2.673 1.463
4.456 5.027 6.809
5.027 6.809 4.456
5.666 0.320 0.891
6.238 2.102 3.245
6.809 4.456 5.027
0.500 6.629 3.065
1.283 1.283 1.283
2.282 5.846 4.847
3.065 0.500 6.629
4.064 4.064 4.064
4.847 2.282 5.846
5.846 4.847 2.282
6.629 3.065 0.500
0.891 2.673 4.456
2.673 4.456 0.891
4.456 0.891 2.673
6.238 6.238 6.238
```

Largest 8 diffraction maxima, by angle, 2θ from 10° to 90°:
Position (°2θ)  I_rel
17.6  14.1
21.6  14.9
28.0  19.3
37.9  100.0
40.0  57.6
42.0  21.5
66.9  20.3
71.2  19.7

=====

Entry 8:
# Nb3Al3C
Simulated powder X-ray diffraction pattern, copper Kα. Input: a structure optimized by DFT (PBE).
Lines closer than 0.1° are merged.

Structural model:
```
Nb3Al3C
1.0
0.000 5.930 5.930
5.930 0.000 5.930
5.930 5.930 0.000
Nb Al C
12 12 4
Cartesian
4.448 4.448 0.776
4.448 0.776 4.448
8.120 4.448 4.448
7.413 7.413 3.741
7.413 3.741 7.413
11.085 7.413 7.413
0.776 4.448 4.448
4.448 8.120 4.448
4.448 4.448 8.120
3.741 7.413 7.413
7.413 11.085 7.413
7.413 7.413 11.085
5.930 2.965 2.965
3.405 3.405 3.405
5.490 5.490 3.405
5.490 3.405 5.490
8.456 6.370 6.370
2.965 5.930 2.965
2.965 2.965 5.930
5.930 5.930 5.930
3.405 5.490 5.490
6.370 8.456 6.370
6.370 6.370 8.456
8.456 8.456 8.456
0.000 0.000 0.000
2.965 2.965 0.000
2.965 0.000 2.965
0.000 2.965 2.965
```

Largest 8 diffraction maxima, by angle, 2θ from 10° to 90°:
Position (°2θ)  I_rel
12.9  31.3
30.1  22.4
32.9  32.0
37.1  60.9
39.5  100.0
43.1  27.7
66.9  49.0
80.6  15.7

=====

Entry 9:
# TiNbAlC
Simulated powder X-ray diffraction pattern, copper Kα. Input: a structure optimized by DFT (PBE).
Lines closer than 0.1° are merged.

Structural model:
```
TiNbAlC
1.0
3.100 0.000 0.000
-1.550 2.685 0.000
0.000 0.000 13.879
Ti Nb Al C
2 2 2 2
Cartesian
0.000 1.790 1.140
1.550 0.895 12.739
0.000 1.790 5.688
1.550 0.895 8.191
0.000 1.790 10.472
1.550 0.895 3.407
0.000 0.000 0.000
0.000 0.000 6.940
```

Largest 8 diffraction maxima, by angle, 2θ from 10° to 90°:
Position (°2θ)  I_rel
12.8  31.5
33.4  19.7
38.8  100.0
38.9  18.7
52.2  16.8
59.6  19.8
70.4  16.3
73.5  16.3

=====

Entry 10:
# NdAlOs2C
Simulated powder X-ray diffraction pattern, copper Kα. Input: a structure optimized by DFT (PBE).
Lines closer than 0.1° are merged.

Structural model:
```
NdAlOs2C
1.0
2.055 -5.542 0.000
2.055 5.542 0.000
0.000 0.000 7.281
Nd Al Os C
2 2 4 2
Cartesian
2.055 4.981 5.461
2.055 -4.981 1.820
2.055 3.013 1.820
2.055 -3.013 5.461
2.055 1.847 4.090
2.055 1.847 6.831
2.055 -1.847 0.450
2.055 -1.847 3.190
2.055 0.000 0.000
2.055 0.000 3.640
```

Largest 8 diffraction maxima, by angle, 2θ from 10° to 90°:
Position (°2θ)  I_rel
26.2  36.3
29.4  31.0
32.6  100.0
33.9  77.7
34.6  34.0
40.6  41.3
44.1  71.5
60.9  32.2

=====

Entry 11:
# Al4Ni12C
Simulated powder X-ray diffraction pattern, copper Kα. Input: a structure optimized by DFT (PBE).
Lines closer than 0.1° are merged.

Structural model:
```
Al4Ni12C
1.0
3.670 0.000 0.000
0.000 3.670 0.000
0.000 0.000 14.041
Al Ni C
4 12 1
Cartesian
0.000 0.000 1.682
0.000 0.000 5.052
0.000 0.000 8.989
0.000 0.000 12.358
0.000 1.835 0.000
0.000 1.835 3.415
0.000 1.835 7.020
0.000 1.835 10.626
1.835 0.000 0.000
1.835 0.000 3.415
1.835 0.000 7.020
1.835 0.000 10.626
1.835 1.835 1.727
1.835 1.835 5.158
1.835 1.835 8.883
1.835 1.835 12.314
1.835 1.835 7.020
```

Largest 8 diffraction maxima, by angle, 2θ from 10° to 90°:
Position (°2θ)  I_rel
24.3  8.6
35.4  5.0
43.4  100.0
49.7  35.1
52.1  13.7
72.9  10.2
74.9  17.1
88.8  22.6

=====

Entry 12:
# Al4CO
Simulated powder X-ray diffraction pattern, copper Kα. Input: a structure optimized by DFT (PBE).
Lines closer than 0.1° are merged.

Structural model:
```
Al4CO
1.0
5.074 0.000 0.000
0.000 2.935 0.000
-0.178 0.000 5.191
Al C O
4 1 1
Cartesian
0.000 0.000 0.000
0.542 1.468 2.508
2.373 1.468 0.340
3.375 0.000 2.673
1.665 0.000 1.598
3.018 0.000 4.513
```

Largest 8 diffraction maxima, by angle, 2θ from 10° to 90°:
Position (°2θ)  I_rel
34.6  68.6
35.4  66.3
39.2  100.0
39.8  61.8
40.1  54.1
49.8  46.2
63.5  38.3
65.8  29.4